1.
The following is a calculated X-ray diffraction stick pattern of PaBe2Pt2. It was derived from a crystal structure in OQMD, relaxed with PBE, using copper Kα.

Peak list (6 most intense, 2θ = 10–90°, by angle)
2θ/deg	intensity
26.70	58
35.75	28
36.20	100
45.18	31
53.56	41
64.53	19

Atomic structure:
Cell lengths 5.795, 5.361, 4.178 Å; angles 73.64, 62.58, 43.77 degrees
Positions (direct):
Pa  0.000  0.000  0.000
Be  0.250  0.250  0.250
Be  0.750  0.750  0.750
Pt  0.355  0.355  0.645
Pt  0.645  0.645  0.355

2.
The following is a calculated X-ray diffraction stick pattern of BePd2. It was derived from a crystal structure in OQMD, relaxed with PBE, using copper Kα.

Peak list (6 most intense, 2θ = 10–90°, by angle)
2θ/deg	intensity
33.62	79
36.45	34
42.70	100
46.38	48
60.38	31
83.42	28

Atomic structure:
Cell lengths 2.769, 2.769, 9.860 Å; angles 90.00, 90.00, 90.00 degrees
Positions (direct):
Be  0.000  0.000  0.000
Be  0.500  0.500  0.499
Pd  0.000  0.000  0.357
Pd  0.000  0.000  0.643
Pd  0.500  0.500  0.144
Pd  0.500  0.500  0.857